Record 1
KUH3SO8: simulated XRD peak list (a wavelength of 1.5418 Å), based on a DFT-relaxed cell (GGA-PBE, the Materials Project).

Peak list (10 most intense, 2θ = 10–80°, in order of falling intensity)
- 5.505 Å, intensity 100.0, hkl 1 0 -2
- 7.768 Å, intensity 92.6, hkl 1 0 0
- 3.768 Å, intensity 87.4, hkl 1 2 -1
- 3.990 Å, intensity 76.0, hkl 0 2 1
- 3.931 Å, intensity 67.8, hkl 2 0 -2
- 5.390 Å, intensity 42.1, hkl 0 0 2
- 3.481 Å, intensity 40.2, hkl 1 1 2
- 3.362 Å, intensity 39.8, hkl 1 2 1
- 4.575 Å, intensity 36.5, hkl 1 1 1
- 1.995 Å, intensity 33.1, hkl 4 1 -1

Crystal structure
a = 8.3857 Å, b = 8.5887 Å, c = 11.6375 Å
α = 90.00°, β = 112.12°, γ = 90.00°
Space group P2_1/c (No. 14)
Inequivalent atoms, fractional coordinates:
K1 0.0599 0.0105 0.2866
U1 0.4238 0.1079 0.6934
H1 0.1250 0.2246 0.9630
H2 0.2938 0.2174 0.9301
H3 0.4011 0.0894 0.1210
S1 0.1928 0.7439 0.5473
O1 0.0742 0.6945 0.6093
O2 0.1198 0.7131 0.4143
O3 0.2269 0.5837 0.0700
O4 0.2514 0.2457 0.4937
O5 0.2627 0.1466 0.7629
O6 0.3617 0.6599 0.6078
O7 0.4159 0.5747 0.8728
O8 0.4843 0.1245 0.2014

***

Record 2
KUH3SO8: simulated XRD peak list (a wavelength of 1.5418 Å), based on a DFT-relaxed cell (GGA-PBE, the Materials Project).

Peak list (10 most intense, 2θ = 10–80°, in order of falling intensity)
- 5.573 Å, intensity 100.0, hkl 1 0 -2
- 7.723 Å, intensity 83.0, hkl 1 0 0
- 3.776 Å, intensity 69.0, hkl 1 2 -1
- 3.923 Å, intensity 63.8, hkl 2 0 -2
- 4.013 Å, intensity 62.5, hkl 0 2 1
- 3.522 Å, intensity 58.8, hkl 1 1 2
- 3.379 Å, intensity 54.3, hkl 0 1 3
- 5.510 Å, intensity 41.0, hkl 0 0 2
- 4.602 Å, intensity 30.0, hkl 1 1 1
- 6.789 Å, intensity 26.4, hkl 0 1 1

Crystal structure
a = 8.3224 Å, b = 8.6187 Å, c = 11.8745 Å
α = 90.00°, β = 111.88°, γ = 90.00°
Space group P2_1/c (No. 14)
Inequivalent atoms, fractional coordinates:
K1 0.0539 0.0291 0.2929
U1 0.4214 0.1003 0.6935
H1 0.1246 0.2155 0.9686
H2 0.3185 0.1691 0.9847
H3 0.3563 0.1017 0.1780
S1 0.1997 0.7372 0.5459
O1 0.0771 0.6802 0.6021
O2 0.1333 0.7132 0.4149
O3 0.2271 0.5902 0.0726
O4 0.2490 0.1417 0.7495
O5 0.2495 0.2470 0.4994
O6 0.3703 0.6565 0.6061
O7 0.4048 0.5669 0.8605
O8 0.4780 0.1323 0.2035

***

Record 3
K2SbH5O6: simulated XRD peak list (a wavelength of 1.5418 Å), based on a DFT-relaxed cell (GGA-PBE, the Materials Project).

Peak list (10 most intense, 2θ = 10–80°, in order of falling intensity)
- 5.206 Å, intensity 100.0, hkl 1 0 0
- 5.115 Å, intensity 99.0, hkl 0 1 -1
- 3.510 Å, intensity 81.9, hkl 1 1 -1
- 3.868 Å, intensity 75.4, hkl 1 0 2
- 5.562 Å, intensity 72.1, hkl 0 1 1
- 3.464 Å, intensity 68.5, hkl -1 1 1
- 3.315 Å, intensity 57.3, hkl 0 2 0
- 2.810 Å, intensity 55.8, hkl 0 1 3
- 2.692 Å, intensity 51.3, hkl 1 2 2
- 2.372 Å, intensity 39.5, hkl 1 -2 2

Crystal structure
a = 5.3786 Å, b = 6.6846 Å, c = 9.2445 Å
α = 83.87°, β = 75.99°, γ = 84.66°
Space group P-1 (No. 2)
Inequivalent atoms, fractional coordinates:
K1 0.1726 0.2268 0.4245
K2 0.2721 0.6956 0.9324
Sb1 0.4586 0.2351 0.7266
H1 0.1346 0.9622 0.2143
H2 0.1463 0.5757 0.2643
H3 0.2849 0.5640 0.5927
H4 0.2900 0.1569 0.0062
H5 0.2915 0.9409 0.6233
O1 0.2023 0.4557 0.6694
O2 0.2208 0.0172 0.7144
O3 0.2348 0.2620 0.9344
O4 0.3204 0.9844 0.1762
O5 0.3347 0.5485 0.2276
O6 0.3440 0.7877 0.4774

***

Copy entry 3 word for word.
K2SbH5O6: simulated XRD peak list (a wavelength of 1.5418 Å), based on a DFT-relaxed cell (GGA-PBE, the Materials Project).

Peak list (10 most intense, 2θ = 10–80°, in order of falling intensity)
- 5.206 Å, intensity 100.0, hkl 1 0 0
- 5.115 Å, intensity 99.0, hkl 0 1 -1
- 3.510 Å, intensity 81.9, hkl 1 1 -1
- 3.868 Å, intensity 75.4, hkl 1 0 2
- 5.562 Å, intensity 72.1, hkl 0 1 1
- 3.464 Å, intensity 68.5, hkl -1 1 1
- 3.315 Å, intensity 57.3, hkl 0 2 0
- 2.810 Å, intensity 55.8, hkl 0 1 3
- 2.692 Å, intensity 51.3, hkl 1 2 2
- 2.372 Å, intensity 39.5, hkl 1 -2 2

Crystal structure
a = 5.3786 Å, b = 6.6846 Å, c = 9.2445 Å
α = 83.87°, β = 75.99°, γ = 84.66°
Space group P-1 (No. 2)
Inequivalent atoms, fractional coordinates:
K1 0.1726 0.2268 0.4245
K2 0.2721 0.6956 0.9324
Sb1 0.4586 0.2351 0.7266
H1 0.1346 0.9622 0.2143
H2 0.1463 0.5757 0.2643
H3 0.2849 0.5640 0.5927
H4 0.2900 0.1569 0.0062
H5 0.2915 0.9409 0.6233
O1 0.2023 0.4557 0.6694
O2 0.2208 0.0172 0.7144
O3 0.2348 0.2620 0.9344
O4 0.3204 0.9844 0.1762
O5 0.3347 0.5485 0.2276
O6 0.3440 0.7877 0.4774